Record 1
For Na3NiO2, a cell relaxed with GGA+U gives the computed powder X-ray diffraction pattern in this record (Cu Kα (λ = 1.5418 Å)).
Intensities are scaled so that the largest is 100.

The 10 most intense peaks (2θ from 15° to 90°), low angle first:
hkl 0 2 0, 2θ 16.9, 5.259 Å, intensity 33
hkl 1 1 0, 2θ 18.7, 4.742 Å, intensity 60
hkl 1 2 1, 2θ 28.0, 3.185 Å, intensity 27
hkl 2 0 0, 2θ 33.7, 2.657 Å, intensity 38
hkl 0 4 0, 2θ 34.1, 2.632 Å, intensity 88
hkl 1 1 2, 2θ 35.1, 2.560 Å, intensity 90
hkl 1 3 2, 2θ 42.9, 2.109 Å, intensity 70
hkl 2 4 0, 2θ 48.7, 1.869 Å, intensity 100
hkl 0 0 4, 2θ 61.0, 1.520 Å, intensity 23
hkl 2 4 4, 2θ 81.6, 1.179 Å, intensity 26

Atomic structure:
Cell lengths 5.313, 10.519, 6.082 Å; angles 90.00, 90.00, 90.00 degrees
Space group Ibam (No. 72)
Inequivalent atoms, fractional coordinates:
Na1 0.000 0.000 0.250 [4 per cell]
Na2 0.000 0.262 0.250 [8 per cell]
Ni1 0.000 0.500 0.000 [4 per cell]
O1 0.249 0.125 0.000 [8 per cell]

Record 2
For Na2NiAsCO7, a cell relaxed with GGA+U gives the computed powder X-ray diffraction pattern in this record (Cu Kα (λ = 1.5418 Å)).
Intensities are scaled so that the largest is 100.

The 10 most intense peaks (2θ from 15° to 90°), low angle first:
hkl 0 1 1, 2θ 16.4, 5.404 Å, intensity 38
hkl 1 0 -1, 2θ 19.1, 4.652 Å, intensity 36
hkl 1 1 1, 2θ 23.9, 3.729 Å, intensity 75
hkl 1 0 -2, 2θ 25.3, 3.522 Å, intensity 100
hkl 0 2 0, 2θ 26.6, 3.356 Å, intensity 90
hkl 0 2 1, 2θ 28.3, 3.149 Å, intensity 41
hkl 1 2 -1, 2θ 32.9, 2.722 Å, intensity 51
hkl 0 2 2, 2θ 33.2, 2.702 Å, intensity 51
hkl 1 0 -3, 2θ 33.4, 2.684 Å, intensity 67
hkl 2 0 0, 2θ 34.0, 2.638 Å, intensity 73

Atomic structure:
Cell lengths 5.281, 6.712, 9.117 Å; angles 90.00, 92.43, 90.00 degrees
Space group P2_1/m (No. 11)
Inequivalent atoms, fractional coordinates:
Na1 0.233 0.005 0.267 [4 per cell]
Ni1 0.214 0.250 0.847 [2 per cell]
As1 0.290 0.750 0.927 [2 per cell]
C1 0.281 0.250 0.578 [2 per cell]
O1 0.063 0.250 0.642 [2 per cell]
O2 0.154 0.750 0.094 [2 per cell]
O3 0.209 0.550 0.818 [4 per cell]
O4 0.287 0.250 0.440 [2 per cell]
O5 0.379 0.250 0.044 [2 per cell]
O6 0.477 0.250 0.667 [2 per cell]

Record 3
For V3P4WO20, a cell relaxed with GGA+U gives the computed powder X-ray diffraction pattern in this record (Cu Kα (λ = 1.5418 Å)).
Intensities are scaled so that the largest is 100.

The 10 most intense peaks (2θ from 15° to 90°), low angle first:
hkl 1 0 1, 2θ 16.0, 5.550 Å, intensity 18
hkl 1 0 2, 2θ 20.2, 4.388 Å, intensity 23
hkl 0 1 2, 2θ 25.0, 3.561 Å, intensity 100
hkl 2 0 0, 2θ 28.8, 3.103 Å, intensity 81
hkl 1 1 2, 2θ 28.9, 3.088 Å, intensity 47
hkl 2 1 -2, 2θ 38.5, 2.339 Å, intensity 14
hkl 1 0 6, 2θ 46.3, 1.962 Å, intensity 21
hkl 1 2 2, 2θ 46.6, 1.948 Å, intensity 22
hkl 3 1 0, 2θ 48.8, 1.868 Å, intensity 25
hkl 3 2 -2, 2θ 63.9, 1.457 Å, intensity 28

Atomic structure:
Cell lengths 6.204, 4.348, 12.413 Å; angles 90.00, 90.03, 90.00 degrees
Space group P2 (No. 3)
Inequivalent atoms, fractional coordinates:
V1 0.000 0.000 0.000 [1 per cell]
V2 0.499 0.425 0.247 [2 per cell]
P1 0.001 0.707 0.246 [2 per cell]
P2 0.500 0.700 0.500 [1 per cell]
P3 0.500 0.716 0.000 [1 per cell]
W1 0.000 0.996 0.500 [1 per cell]
O1 0.000 0.372 0.000 [1 per cell]
O2 0.000 0.402 0.500 [1 per cell]
O3 0.045 0.919 0.651 [2 per cell]
O4 0.046 0.923 0.150 [2 per cell]
O5 0.197 0.510 0.773 [2 per cell]
O6 0.197 0.513 0.275 [2 per cell]
O7 0.299 0.919 0.978 [2 per cell]
O8 0.305 0.922 0.477 [2 per cell]
O9 0.450 0.511 0.599 [2 per cell]
O10 0.453 0.512 0.098 [2 per cell]
O11 0.500 0.051 0.250 [2 per cell]

Record 4
For MgMn8O13F3, a cell relaxed with GGA+U gives the computed powder X-ray diffraction pattern in this record (Cu Kα (λ = 1.5418 Å)).
Intensities are scaled so that the largest is 100.

The 10 most intense peaks (2θ from 15° to 90°), low angle first:
hkl -1 1 1, 2θ 23.6, 3.778 Å, intensity 100
hkl 1 1 1, 2θ 25.6, 3.480 Å, intensity 86
hkl 1 0 -2, 2θ 28.0, 3.184 Å, intensity 74
hkl 1 -2 0, 2θ 30.8, 2.902 Å, intensity 76
hkl 1 2 0, 2θ 31.1, 2.878 Å, intensity 71
hkl 1 0 2, 2θ 31.2, 2.867 Å, intensity 85
hkl 2 1 -1, 2θ 35.5, 2.529 Å, intensity 37
hkl 2 -1 1, 2θ 37.9, 2.375 Å, intensity 41
hkl 0 0 4, 2θ 51.0, 1.789 Å, intensity 42
hkl 2 3 1, 2θ 55.8, 1.649 Å, intensity 38

Atomic structure:
Cell lengths 5.622, 6.770, 7.221 Å; angles 93.85, 96.57, 90.09 degrees
Space group P1 (No. 1)
Inequivalent atoms, fractional coordinates:
Mg1 0.000 0.000 0.000 [1 per cell]
Mn1 0.100 0.085 0.429 [1 per cell]
Mn2 0.148 0.552 0.894 [1 per cell]
Mn3 0.292 0.573 0.402 [1 per cell]
Mn4 0.410 0.045 0.859 [1 per cell]
Mn5 0.615 0.799 0.144 [1 per cell]
Mn6 0.634 0.325 0.656 [1 per cell]
Mn7 0.795 0.344 0.165 [1 per cell]
Mn8 0.853 0.814 0.639 [1 per cell]
O1 0.070 0.802 0.450 [1 per cell]
O2 0.086 0.347 0.343 [1 per cell]
O3 0.146 0.836 0.815 [1 per cell]
O4 0.366 0.595 0.125 [1 per cell]
O5 0.373 0.997 0.111 [1 per cell]
O6 0.376 0.513 0.663 [1 per cell]
O7 0.389 0.114 0.607 [1 per cell]
O8 0.632 0.263 0.912 [1 per cell]
O9 0.673 0.872 0.860 [1 per cell]
O10 0.843 0.052 0.218 [1 per cell]
O11 0.864 0.099 0.611 [1 per cell]
O12 0.866 0.604 0.103 [1 per cell]
O13 0.882 0.531 0.695 [1 per cell]
F1 0.137 0.250 0.923 [1 per cell]
F2 0.579 0.770 0.440 [1 per cell]
F3 0.590 0.368 0.387 [1 per cell]

Record 5
For Li4Mn2V3Sn3O16, a cell relaxed with GGA+U gives the computed powder X-ray diffraction pattern in this record (Cu Kα (λ = 1.5418 Å)).
Intensities are scaled so that the largest is 100.

The 10 most intense peaks (2θ from 15° to 90°), low angle first:
hkl 0 0 2, 2θ 17.7, 5.002 Å, intensity 100
hkl 0 1 1, 2θ 18.9, 4.700 Å, intensity 75
hkl 0 1 -2, 2θ 24.4, 3.647 Å, intensity 36
hkl 0 1 -3, 2θ 31.7, 2.826 Å, intensity 31
hkl 2 1 2, 2θ 34.3, 2.613 Å, intensity 32
hkl 0 2 -1, 2θ 34.8, 2.575 Å, intensity 56
hkl 2 2 -1, 2θ 35.0, 2.560 Å, intensity 26
hkl 0 2 -3, 2θ 43.5, 2.081 Å, intensity 43
hkl 0 2 5, 2θ 57.6, 1.600 Å, intensity 26
hkl 4 2 0, 2θ 60.4, 1.532 Å, intensity 25

Atomic structure:
Cell lengths 6.125, 6.133, 10.004 Å; angles 89.92, 89.86, 60.39 degrees
Space group P1 (No. 1)
Inequivalent atoms, fractional coordinates:
Li1 0.000 0.000 0.000 [1 per cell]
Li2 0.001 0.011 0.494 [1 per cell]
Li3 0.350 0.311 0.893 [1 per cell]
Li4 0.684 0.634 0.387 [1 per cell]
Mn1 0.347 0.317 0.496 [1 per cell]
Mn2 0.676 0.648 0.000 [1 per cell]
V1 0.189 0.144 0.217 [1 per cell]
V2 0.677 0.151 0.212 [1 per cell]
V3 0.844 0.323 0.716 [1 per cell]
Sn1 0.179 0.642 0.214 [1 per cell]
Sn2 0.348 0.816 0.714 [1 per cell]
Sn3 0.843 0.817 0.714 [1 per cell]
O1 0.006 0.995 0.819 [1 per cell]
O2 0.007 0.989 0.314 [1 per cell]
O3 0.049 0.438 0.327 [1 per cell]
O4 0.160 0.151 0.605 [1 per cell]
O5 0.160 0.681 0.595 [1 per cell]
O6 0.314 0.850 0.103 [1 per cell]
O7 0.353 0.302 0.104 [1 per cell]
O8 0.500 0.457 0.329 [1 per cell]
O9 0.504 0.016 0.319 [1 per cell]
O10 0.531 0.953 0.835 [1 per cell]
O11 0.534 0.491 0.829 [1 per cell]
O12 0.682 0.642 0.599 [1 per cell]
O13 0.701 0.160 0.606 [1 per cell]
O14 0.844 0.292 0.113 [1 per cell]
O15 0.852 0.832 0.103 [1 per cell]
O16 0.979 0.481 0.827 [1 per cell]